# NbInMoO6
Computed X-ray powder pattern, Cu Kα X-rays. Input: a PBE+U-relaxed structure.
Kinematic intensities with the Lorentz-polarization factor, no thermal factor.

Atomic structure:
Lattice parameters (Å, degrees): 5.2977 5.2977 9.1947 90.00 90.00 120.00
Space group P-31c (No. 163)
Unique sites:
Nb1 0.3333 0.6667 0.2500
In1 0.3333 0.6667 0.7500
Mo1 0.0000 0.0000 0.0000
O1 0.0275 0.3385 0.1278

Largest 6 diffraction maxima, sorted by position, 10 to 90 degrees two-theta:
two_theta	d_spacing	I_rel	hkl
27.5	3.247	100	1 0 2
33.8	2.649	47	1 1 0
39.2	2.296	25	0 0 4
44.1	2.053	27	2 0 2
52.7	1.736	47	1 1 4
56.7	1.622	25	3 -1 2